Record 1
This entry pairs a crystal structure of NiMo8P3 with its calculated powder diffractogram. Radiation: Cu Kα X-rays. Structure: a GGA-PBE-relaxed structure.
Intensities are scaled so that the largest is 100.

The 10 most intense peaks (2θ from 10° to 80°), by intensity:
2theta, I_rel
42.56, 100.0
37.99, 86.7
39.77, 81.7
39.65, 78.9
42.10, 68.3
37.85, 67.9
38.86, 61.9
39.08, 53.1
38.29, 39.4
38.05, 39.3

Structural model:
```
data_NiMo8P3
_chemical_formula_sum 'Ni4 Mo32 P12'
_cell_length_a 4.804
_cell_length_b 7.351
_cell_length_c 20.865
_cell_angle_alpha 87.33
_cell_angle_beta 83.83
_cell_angle_gamma 71.07
_symmetry_space_group_name_H-M 'P 1'
_symmetry_Int_Tables_number 1
_symmetry_space_group_name_Hall 'P 1'
loop_
_atom_site_label
_atom_site_fract_x
_atom_site_fract_y
_atom_site_fract_z
Ni1 0.000 0.000 0.000
Ni2 0.056 0.200 0.676
Ni3 0.335 0.999 0.333
Ni4 0.654 0.009 0.668
Mo1 0.017 0.955 0.554
Mo2 0.029 0.247 0.223
Mo3 0.126 0.415 0.341
Mo4 0.131 0.601 0.204
Mo5 0.197 0.611 0.067
Mo6 0.222 0.965 0.121
Mo7 0.247 0.258 0.790
Mo8 0.262 0.603 0.943
Mo9 0.262 0.794 0.670
Mo10 0.322 0.615 0.807
Mo11 0.351 0.959 0.886
Mo12 0.367 0.243 0.558
Mo13 0.401 0.192 0.010
Mo14 0.450 0.417 0.674
Mo15 0.466 0.596 0.536
Mo16 0.527 0.612 0.400
Mo17 0.552 0.965 0.455
Mo18 0.570 0.260 0.127
Mo19 0.598 0.602 0.277
Mo20 0.600 0.789 0.003
Mo21 0.654 0.619 0.139
Mo22 0.685 0.958 0.219
Mo23 0.696 0.249 0.888
Mo24 0.735 0.192 0.344
Mo25 0.794 0.601 0.871
Mo26 0.796 0.414 0.007
Mo27 0.867 0.611 0.733
Mo28 0.894 0.966 0.786
Mo29 0.903 0.261 0.462
Mo30 0.933 0.601 0.611
Mo31 0.933 0.790 0.337
Mo32 0.983 0.621 0.472
P1 0.053 0.322 0.106
P2 0.099 0.918 0.428
P3 0.159 0.308 0.910
P4 0.213 0.892 0.241
P5 0.385 0.323 0.440
P6 0.441 0.908 0.764
P7 0.490 0.308 0.245
P8 0.548 0.888 0.574
P9 0.733 0.322 0.770
P10 0.769 0.915 0.095
P11 0.833 0.303 0.582
P12 0.879 0.894 0.907
```

***

Record 2
This entry pairs a crystal structure of Mg2Sn with its calculated powder diffractogram. Radiation: Cu Kα X-rays. Structure: a GGA-PBE-relaxed structure.
Intensities are scaled so that the largest is 100.

The 10 most intense peaks (2θ from 10° to 80°), by intensity:
2theta, I_rel
35.67, 100.0
30.28, 90.7
18.41, 47.0
53.79, 37.5
57.35, 34.3
62.98, 23.2
71.47, 16.7
47.47, 13.5
74.54, 12.1
66.23, 10.7

Structural model:
a = 8.348 Å, b = 8.348 Å, c = 8.348 Å
α = 90.00°, β = 90.00°, γ = 90.00°
Space group Fd-3m (No. 227, origin choice 2)
Inequivalent atoms, fractional coordinates:
Mg  0.000  0.000  0.000 x16
Sn  0.125  0.125  0.625 x8

***

Record 3
This entry pairs a crystal structure of AlSbO3 with its calculated powder diffractogram. Radiation: Cu Kα X-rays. Structure: a GGA-PBE-relaxed structure.
Intensities are scaled so that the largest is 100.

The 10 most intense peaks (2θ from 10° to 80°), by intensity:
2theta, I_rel
30.18, 100.0
13.94, 56.0
28.10, 39.4
46.55, 35.8
52.01, 28.5
36.34, 26.9
60.16, 25.4
32.61, 20.8
61.32, 12.2
54.12, 11.0

Structural model:
```
data_AlSbO3
_chemical_formula_sum 'Al2 Sb2 O6'
_cell_length_a 3.5164
_cell_length_b 3.5164
_cell_length_c 12.7031
_cell_angle_alpha 90.00
_cell_angle_beta 90.00
_cell_angle_gamma 120.00
_symmetry_space_group_name_H-M 'P 63/m m c'
_symmetry_Int_Tables_number 194
_symmetry_space_group_name_Hall '-P 6c 2c'
loop_
_atom_site_label
_atom_site_fract_x
_atom_site_fract_y
_atom_site_fract_z
Al1 0.0000 0.0000 0.0000
Sb1 0.3333 0.6667 0.2500
O1 0.0000 0.0000 0.2500
O2 0.3333 0.6667 0.0654
```

***

Record 4
This entry pairs a crystal structure of Cs2UF7 with its calculated powder diffractogram. Radiation: Cu Kα X-rays. Structure: a GGA-PBE-relaxed structure.
Intensities are scaled so that the largest is 100.

The 10 most intense peaks (2θ from 10° to 80°), by intensity:
2theta, I_rel
21.28, 100.0
22.63, 98.1
22.12, 65.2
22.96, 57.4
15.10, 55.5
25.54, 47.1
25.87, 46.1
24.10, 41.8
40.83, 41.5
24.47, 40.3

Structural model:
```
data_Cs2UF7
_chemical_formula_sum 'Cs8 U4 F28'
_cell_length_a 6.893
_cell_length_b 14.348
_cell_length_c 10.202
_cell_angle_alpha 90.00
_cell_angle_beta 92.25
_cell_angle_gamma 90.00
_symmetry_space_group_name_H-M 'P 1 21/c 1'
_symmetry_Int_Tables_number 14
_symmetry_space_group_name_Hall '-P 2ybc'
loop_
_atom_site_label
_atom_site_fract_x
_atom_site_fract_y
_atom_site_fract_z
Cs1 0.210 0.052 0.143
Cs2 0.222 0.715 0.062
U1 0.305 0.132 0.682
F1 0.061 0.211 0.723
F2 0.106 0.612 0.512
F3 0.143 0.009 0.673
F4 0.240 0.158 0.483
F5 0.394 0.109 0.878
F6 0.446 0.562 0.873
F7 0.476 0.247 0.189
```